Simulated powder X-ray diffraction pattern
Compound: Ba2PmW3O12
Radiation: Cu Kα X-rays
Structure: the GGA+U geometry in Alexandria

Principal peaks in the range 10° ≤ 2θ ≤ 80°, by angle:
2θ/deg, d/Å, I/Imax
14.51, 6.104, 30.2
24.97, 3.567, 21.4
27.78, 3.211, 77.8
28.40, 3.143, 100.0
29.26, 3.052, 75.5
29.58, 3.020, 38.8
31.54, 2.837, 26.9
44.53, 2.035, 33.1
45.34, 2.000, 20.7
48.19, 1.888, 59.4
51.23, 1.783, 35.1
58.75, 1.572, 23.5

Crystal structure
```
Ba2PmW3O12
1.0
3.7754 2.1797 5.6738
-3.7754 2.1797 5.6738
0.0000 -4.3594 5.6738
Ba Pm W O
2 1 3 12
Cartesian
0.0000 0.0000 2.1336 Ba
0.0000 0.0000 14.8879 Ba
0.0000 0.0000 8.5108 Pm
-1.8877 -1.0899 5.6738 W
-1.8877 1.0898 11.3477 W
0.0000 2.1797 5.6738 W
-1.9866 -1.1470 7.5924 O
0.0000 -1.6301 5.8281 O
-1.4117 0.8151 5.8281 O
0.0000 -2.2940 9.4291 O
-1.9866 1.1470 9.4291 O
-1.4117 -0.8151 11.1935 O
1.4117 0.8151 5.8281 O
1.9866 -1.1470 7.5924 O
0.0000 2.2940 7.5924 O
1.4117 -0.8151 11.1935 O
0.0000 1.6301 11.1935 O
1.9866 1.1470 9.4291 O
```